The following is a calculated powder diffraction line list of K2YNb5O15. It was derived from the PBE geometry in the Materials Project, using Cu Kα, 1.54184 Å.

Cell and atoms:
Cell lengths 9.3519, 9.3519, 3.9751 Å; angles 90.00, 90.00, 111.89 degrees
Atoms (fractional coordinates):
K 0.2019 0.7981 0.0000
K 0.7981 0.2019 0.0000
Y 0.5000 0.5000 0.0000
Nb 0.0000 0.0000 0.5000
Nb 0.1817 0.4406 0.5000
Nb 0.4406 0.1817 0.5000
Nb 0.5594 0.8183 0.5000
Nb 0.8183 0.5594 0.5000
O 0.0000 0.0000 0.0000
O 0.0000 0.5000 0.5000
O 0.0424 0.2273 0.5000
O 0.2207 0.4524 0.0000
O 0.2273 0.0424 0.5000
O 0.3386 0.6614 0.5000
O 0.3727 0.3727 0.5000
O 0.4524 0.2207 0.0000
O 0.5000 0.0000 0.5000
O 0.5476 0.7793 0.0000
O 0.6273 0.6273 0.5000
O 0.6614 0.3386 0.5000
O 0.7727 0.9576 0.5000
O 0.7793 0.5476 0.0000
O 0.9576 0.7727 0.5000

Top 10 peaks for 2θ from 15° to 90°, sorted by position:
| d (Å) | 2θ/deg | I/Imax |
| --- | --- | --- |
| 3.975 | 22.37 | 616 |
| 3.406 | 26.16 | 478 |
| 3.166 | 28.18 | 533 |
| 3.114 | 28.66 | 1000 |
| 3.017 | 29.61 | 819 |
| 2.774 | 32.27 | 385 |
| 2.586 | 34.69 | 510 |
| 1.988 | 45.64 | 439 |
| 1.745 | 52.45 | 587 |
| 1.692 | 54.22 | 390 |

The following is a calculated powder diffraction line list of Cu2AsO8. It was derived from the PBE geometry in the Materials Project, using Cu Kα, 1.54184 Å.

Cell and atoms:
Cell lengths 5.4839, 10.4287, 12.2081 Å; angles 90.00, 90.00, 90.00 degrees
Atoms (fractional coordinates):
Cu 0.0341 0.2494 0.0056
Cu 0.1446 0.7123 0.7251
Cu 0.3554 0.2877 0.2251
Cu 0.4659 0.7506 0.5056
Cu 0.5341 0.2506 0.9944
Cu 0.6446 0.7877 0.2749
Cu 0.8554 0.2123 0.7749
Cu 0.9659 0.7494 0.4944
As 0.2051 0.5858 0.2598
As 0.2949 0.4142 0.7598
As 0.7051 0.9142 0.7402
As 0.7949 0.0858 0.2402
O 0.0142 0.2823 0.5962
O 0.0226 0.3704 0.8172
O 0.0360 0.1817 0.2218
O 0.1437 0.1196 0.7753
O 0.1485 0.4278 0.2794
O 0.1836 0.3673 0.5967
O 0.2094 0.6625 0.5668
O 0.2226 0.8500 0.4478
O 0.2774 0.1500 0.9478
O 0.2906 0.3375 0.0668
O 0.3164 0.6327 0.0967
O 0.3515 0.5722 0.7794
O 0.3563 0.8804 0.2753
O 0.4640 0.8183 0.7218
O 0.4774 0.6296 0.3172
O 0.4858 0.7177 0.0962
O 0.5142 0.2177 0.4038
O 0.5226 0.1296 0.1828
O 0.5360 0.3183 0.7782
O 0.6437 0.3804 0.2247
O 0.6485 0.0722 0.7206
O 0.6836 0.1327 0.4033
O 0.7094 0.8375 0.4332
O 0.7226 0.6500 0.5522
O 0.7774 0.3500 0.0522
O 0.7906 0.1625 0.9332
O 0.8164 0.8673 0.9033
O 0.8515 0.9278 0.2206
O 0.8563 0.6196 0.7247
O 0.9640 0.6817 0.2782
O 0.9774 0.8704 0.6828
O 0.9858 0.7823 0.9038

Top 10 peaks for 2θ from 15° to 90°, sorted by position:
| d (Å) | 2θ/deg | I/Imax |
| --- | --- | --- |
| 5.214 | 17.00 | 1000 |
| 4.854 | 18.28 | 844 |
| 3.799 | 23.42 | 716 |
| 3.610 | 24.66 | 278 |
| 3.052 | 29.26 | 756 |
| 2.855 | 31.34 | 819 |
| 2.584 | 34.72 | 271 |
| 2.430 | 36.99 | 411 |
| 2.379 | 37.82 | 810 |
| 1.877 | 48.50 | 283 |

The following is a calculated powder diffraction line list of Cs4Zr3Se14. It was derived from the PBE geometry in the Materials Project, using Cu Kα, 1.54184 Å.

Cell and atoms:
Cell lengths 12.4719, 12.4719, 14.9920 Å; angles 110.83, 110.83, 42.90 degrees
Atoms (fractional coordinates):
Cs 0.1212 0.4748 0.3898
Cs 0.1835 0.6900 0.8488
Cs 0.3100 0.8165 0.6512
Cs 0.4748 0.1212 0.8898
Cs 0.5252 0.8788 0.1102
Cs 0.6900 0.1835 0.3488
Cs 0.8165 0.3100 0.1512
Cs 0.8788 0.5252 0.6102
Zr 0.0887 0.5763 0.0843
Zr 0.2603 0.7397 0.2500
Zr 0.4237 0.9113 0.4157
Zr 0.5763 0.0887 0.5843
Zr 0.7397 0.2603 0.7500
Zr 0.9113 0.4237 0.9157
Se 0.0364 0.8351 0.0816
Se 0.0486 0.7519 0.2788
Se 0.0625 0.4974 0.8989
Se 0.1055 0.1847 0.3905
Se 0.1649 0.9636 0.4184
Se 0.1847 0.1055 0.8905
Se 0.2481 0.9514 0.2212
Se 0.2968 0.6292 0.3960
Se 0.3118 0.3398 0.6636
Se 0.3398 0.3118 0.1636
Se 0.3708 0.7032 0.1040
Se 0.3985 0.4392 0.1319
Se 0.4392 0.3985 0.6319
Se 0.4974 0.0625 0.3989
Se 0.5026 0.9375 0.6011
Se 0.5608 0.6015 0.3681
Se 0.6015 0.5608 0.8681
Se 0.6292 0.2968 0.8960
Se 0.6602 0.6882 0.8364
Se 0.6882 0.6602 0.3364
Se 0.7032 0.3708 0.6040
Se 0.7519 0.0486 0.7788
Se 0.8153 0.8945 0.1095
Se 0.8351 0.0364 0.5816
Se 0.8945 0.8153 0.6095
Se 0.9375 0.5026 0.1011
Se 0.9514 0.2481 0.7212
Se 0.9636 0.1649 0.9184

Top 10 peaks for 2θ from 15° to 90°, sorted by position:
| d (Å) | 2θ/deg | I/Imax |
| --- | --- | --- |
| 4.561 | 19.46 | 258 |
| 3.830 | 23.23 | 414 |
| 3.466 | 25.70 | 926 |
| 3.373 | 26.42 | 1000 |
| 2.933 | 30.48 | 318 |
| 2.906 | 30.77 | 322 |
| 2.817 | 31.77 | 271 |
| 2.775 | 32.26 | 274 |
| 2.569 | 34.93 | 334 |
| 1.801 | 50.68 | 271 |

The following is a calculated powder diffraction line list of CaCu3Bi4O12. It was derived from the PBE geometry in the Materials Project, using Cu Kα, 1.54184 Å.

Cell and atoms:
Cell lengths 7.1156, 7.1156, 7.1156 Å; angles 109.47, 109.47, 109.47 degrees
Atoms (fractional coordinates):
Ca 0.0000 0.0000 0.0000
Cu 0.0000 0.5000 0.5000
Cu 0.5000 0.0000 0.5000
Cu 0.5000 0.5000 0.0000
Bi 0.0000 0.0000 0.5000
Bi 0.0000 0.5000 0.0000
Bi 0.5000 0.0000 0.0000
Bi 0.5000 0.5000 0.5000
O 0.1535 0.4727 0.3192
O 0.1535 0.8343 0.6808
O 0.1657 0.3192 0.8465
O 0.3192 0.1535 0.4727
O 0.3192 0.8465 0.1657
O 0.4727 0.3192 0.1535
O 0.5273 0.6808 0.8465
O 0.6808 0.1535 0.8343
O 0.6808 0.8465 0.5273
O 0.8343 0.6808 0.1535
O 0.8465 0.1657 0.3192
O 0.8465 0.5273 0.6808

Top 10 peaks for 2θ from 15° to 90°, sorted by position:
| d (Å) | 2θ/deg | I/Imax |
| --- | --- | --- |
| 4.108 | 21.63 | 361 |
| 2.905 | 30.78 | 1000 |
| 2.372 | 37.93 | 105 |
| 2.054 | 44.09 | 211 |
| 1.837 | 49.62 | 205 |
| 1.677 | 54.73 | 478 |
| 1.452 | 64.11 | 127 |
| 1.369 | 68.52 | 77 |
| 1.299 | 72.80 | 189 |
| 1.098 | 89.20 | 227 |

The following is a calculated powder diffraction line list of Sb2Pd. It was derived from the PBE geometry in the Materials Project, using Cu Kα, 1.54184 Å.

Cell and atoms:
Cell lengths 6.5647, 6.5647, 6.5647 Å; angles 90.00, 90.00, 90.00 degrees
Atoms (fractional coordinates):
Sb 0.1272 0.1272 0.1272
Sb 0.1272 0.3728 0.6272
Sb 0.3728 0.6272 0.1272
Sb 0.3728 0.8728 0.6272
Sb 0.6272 0.1272 0.3728
Sb 0.6272 0.3728 0.8728
Sb 0.8728 0.6272 0.3728
Sb 0.8728 0.8728 0.8728
Pd 0.0000 0.0000 0.5000
Pd 0.0000 0.5000 0.0000
Pd 0.5000 0.0000 0.0000
Pd 0.5000 0.5000 0.5000

Top 10 peaks for 2θ from 15° to 90°, sorted by position:
| d (Å) | 2θ/deg | I/Imax |
| --- | --- | --- |
| 3.282 | 27.17 | 234 |
| 2.936 | 30.45 | 1000 |
| 2.680 | 33.43 | 758 |
| 2.321 | 38.80 | 203 |
| 1.979 | 45.84 | 807 |
| 1.821 | 50.10 | 219 |
| 1.754 | 52.13 | 423 |
| 1.433 | 65.12 | 218 |
| 1.263 | 75.21 | 231 |
| 1.160 | 83.26 | 226 |